[1]
Structure and theoretical powder diffractogram of Ga2HgTe3S (a crystal structure in OQMD, relaxed with PBE; Cu Kα X-rays).
Kinematic intensities with the Lorentz-polarization factor, no thermal factor.

a = 6.0909 Å, b = 6.1784 Å, c = 7.1503 Å
α = 115.29°, β = 112.69°, γ = 92.05°
Fractional coordinates of all 7 atoms:
Ga: 0.0000 0.0000 0.0000
Ga: 0.2277 0.7643 0.5272
Hg: 0.4851 0.4859 0.0127
Te: 0.3774 0.9181 0.2904
Te: 0.6165 0.6112 0.7211
Te: 0.8734 0.3513 0.2902
S: 0.1052 0.0870 0.7542

Principal peaks in the range 2θ = 10–90°, in order of rising 2θ:
2θ (°)	d [Å]	I (rel.)
20.86	4.259	25.6
24.99	3.563	60.7
25.77	3.457	100.0
26.13	3.410	51.0
40.91	2.206	29.4
42.44	2.130	52.6
42.54	2.125	23.6
43.07	2.100	23.7
43.80	2.067	21.6
49.85	1.829	23.2

=====

[2]
Structure and theoretical powder diffractogram of Na2Li3Ni3N3 (a crystal structure in OQMD, relaxed with PBE; Cu Kα X-rays).
Kinematic intensities with the Lorentz-polarization factor, no thermal factor.

a = 7.2161 Å, b = 7.2161 Å, c = 3.4581 Å
α = 90.00°, β = 90.00°, γ = 120.00°
Fractional coordinates of all 11 atoms:
Na: 0.3333 0.6667 0.0000
Na: 0.6667 0.3333 0.0000
Li: 0.0000 0.2256 0.0000
Li: 0.2256 0.0000 0.0000
Li: 0.7744 0.7744 0.0000
Ni: 0.0000 0.6819 0.5000
Ni: 0.3181 0.3181 0.5000
Ni: 0.6819 0.0000 0.5000
N: 0.0000 0.6812 0.0000
N: 0.3188 0.3188 0.0000
N: 0.6812 0.0000 0.0000

Principal peaks in the range 2θ = 10–90°, in order of rising 2θ:
2θ (°)	d [Å]	I (rel.)
24.67	3.608	100.0
35.97	2.497	58.2
43.44	2.083	36.3
50.60	1.804	13.1
52.96	1.729	7.4
57.63	1.599	12.2
59.26	1.559	14.1
68.85	1.364	8.0
70.82	1.330	14.2
74.84	1.269	11.8

=====

[3]
Structure and theoretical powder diffractogram of In2TcB (a crystal structure in OQMD, relaxed with PBE; Cu Kα X-rays).
Kinematic intensities with the Lorentz-polarization factor, no thermal factor.

a = 4.5567 Å, b = 4.5567 Å, c = 4.5567 Å
α = 60.00°, β = 60.00°, γ = 60.00°
Fractional coordinates of all 4 atoms:
In: 0.0000 0.0000 0.0000
In: 0.2500 0.2500 0.2500
Tc: 0.5000 0.5000 0.5000
B: 0.7500 0.7500 0.7500

Principal peaks in the range 2θ = 10–90°, in order of rising 2θ:
2θ (°)	d [Å]	I (rel.)
23.92	3.721	25.3
27.69	3.222	9.5
39.55	2.278	100.0
46.75	1.943	12.9
57.18	1.611	16.4
62.86	1.478	5.2
64.69	1.441	3.4
71.76	1.315	32.6
76.87	1.240	3.8
85.18	1.139	10.4

=====

[4]
Structure and theoretical powder diffractogram of KZrCu3Se4 (a crystal structure in OQMD, relaxed with PBE; Cu Kα X-rays).
Kinematic intensities with the Lorentz-polarization factor, no thermal factor.

a = 5.9016 Å, b = 7.7007 Å, c = 9.9634 Å
α = 90.00°, β = 106.52°, γ = 90.00°
Fractional coordinates of all 18 atoms:
K: 0.1996 0.2500 0.3815
K: 0.8004 0.7500 0.6185
Zr: 0.1377 0.2500 0.7840
Zr: 0.8623 0.7500 0.2160
Cu: 0.2860 0.5221 0.0030
Cu: 0.2860 0.9779 0.0030
Cu: 0.3605 0.7500 0.2121
Cu: 0.6395 0.2500 0.7879
Cu: 0.7140 0.0221 0.9970
Cu: 0.7140 0.4779 0.9970
Se: 0.0273 0.2500 0.0177
Se: 0.2258 0.7500 0.4216
Se: 0.3932 0.5182 0.7785
Se: 0.3932 0.9818 0.7785
Se: 0.6068 0.0182 0.2215
Se: 0.6068 0.4818 0.2215
Se: 0.7742 0.2500 0.5784
Se: 0.9727 0.7500 0.9823

Principal peaks in the range 2θ = 10–90°, in order of rising 2θ:
2θ (°)	d [Å]	I (rel.)
14.78	5.995	71.3
27.66	3.225	33.9
28.01	3.186	100.0
28.09	3.176	48.9
42.84	2.111	71.3
43.19	2.095	68.1
47.21	1.925	34.8
47.60	1.910	28.3
48.00	1.895	24.6
48.48	1.878	28.8